Structure and simulated powder diffraction line list of Ce6ErPa2 (a GGA-PBE-relaxed structure; Cu Ka).

Atomic structure:
```
data_Ce6ErPa2
_chemical_formula_sum 'Ce6 Er1 Pa2'
_cell_length_a 5.3933
_cell_length_b 5.3933
_cell_length_c 10.8420
_cell_angle_alpha 90.00
_cell_angle_beta 90.00
_cell_angle_gamma 120.00
_space_group_name_H-M_alt 'P -3 1 m'
_space_group_IT_number 162
_space_group_name_Hall '-P 3 2'
loop_
_atom_site_label
_atom_site_type_symbol
_atom_site_fract_x
_atom_site_fract_y
_atom_site_fract_z
Ce1 Ce 0.0000 0.3339 0.2648
Er1 Er 0.0000 0.0000 0.0000
Pa1 Pa 0.3333 0.6667 0.5000
```

Peak list (10 most intense, 15 to 90 degrees two-theta, by intensity)
d [Å]  I (rel.)
2.414  100
2.617  68
4.290  62
2.161  44
2.711  42
1.350  29
1.557  26
1.501  23
2.858  23
1.308  15